# Ta2MnRu
Computed powder diffraction line list, a wavelength of 1.5418 Å. Input: a DFT-relaxed cell (GGA-PBE, Alexandria).
Intensities are scaled so that the largest is 100.

Top 10 peaks for 5 to 70 degrees two-theta, by angle:
- 21.2 deg, I 35
- 33.3 deg, I 12
- 34.1 deg, I 11
- 39.4 deg, I 52
- 39.9 deg, I 100
- 40.5 deg, I 96
- 43.3 deg, I 40
- 45.2 deg, I 11
- 56.3 deg, I 18
- 59.9 deg, I 30

Crystal structure
```
4
Lattice="2.7816 -4.1811 0.0000 2.7816 4.1811 0.0000 -0.9238 0.0000 2.6883" Properties=species:S:1:pos:R:3 pbc="T T T"
Ta 1.3908 2.0906 0.0000
Ta 1.3908 -2.0906 0.0000
Mn -0.4619 0.0000 1.3442
Ru 2.3197 0.0000 1.3442
```